[1]
For Ag8GeS6, the GGA-PBE geometry in OQMD gives the computed powder diffractogram in this record (Cu Kα X-rays).
Intensities are scaled so that the largest is 100.

Cell and atoms:
Lattice parameters (Å, degrees): 15.2842 7.5655 10.7335 90.00 90.00 90.00
Space group Pna2_1 (No. 33)
Inequivalent atoms, fractional coordinates:
Ag 0.0186 0.0114 0.2725 x4
Ag 0.0618 0.2291 0.5000 x4
Ag 0.0676 0.5611 0.1798 x4
Ag 0.0867 0.5965 0.8606 x4
Ag 0.1285 0.2429 0.0384 x4
Ag 0.2258 0.8740 0.8498 x4
Ag 0.2277 0.9998 0.2551 x4
Ag 0.2411 0.6306 0.0692 x4
Ge 0.1241 0.7299 0.5154 x4
S 0.0048 0.7283 0.3933 x4
S 0.1125 0.8155 0.0313 x4
S 0.1201 0.4920 0.6404 x4
S 0.1238 0.2660 0.2728 x4
S 0.1274 0.9707 0.6399 x4
S 0.2422 0.7228 0.3930 x4

Main lines, in order of rising 2θ (2θ = 10–80°):
hkl  2θ/deg  d/Å  I (rel.)
0 1 1  14.3  6.197  29
4 1 1  27.5  3.248  43
4 0 2  28.7  3.113  33
0 2 2  28.9  3.092  100
3 2 0  29.5  3.033  26
3 1 3  32.8  2.731  58
3 2 2  33.9  2.643  28
5 1 2  35.8  2.506  28
6 2 1  43.6  2.074  30
4 2 4  47.9  1.899  42

[2]
For SmAgGeSeS2, the GGA-PBE geometry in OQMD gives the computed powder diffractogram in this record (Cu Kα X-rays).
Intensities are scaled so that the largest is 100.

Cell and atoms:
Lattice parameters (Å, degrees): 3.9428 12.8592 10.9559 90.00 90.00 90.00
Space group Cmcm (No. 63)
Inequivalent atoms, fractional coordinates:
Sm 0.0000 0.0000 0.0000 x4
Ag 0.0000 0.4756 0.2500 x4
Ge 0.0000 0.2241 0.7500 x4
Se 0.0000 0.1165 0.2500 x4
S 0.0000 0.3574 0.0707 x8

Main lines, in order of rising 2θ (2θ = 10–80°):
hkl  2θ/deg  d/Å  I (rel.)
0 2 0  13.8  6.430  55
1 1 2  28.7  3.105  32
1 3 1  31.9  2.805  35
0 0 4  32.7  2.739  36
1 3 2  35.0  2.564  100
0 2 4  35.6  2.520  13
1 3 3  39.7  2.272  12
1 5 2  45.2  2.005  23
2 0 0  46.0  1.971  19
2 0 4  57.6  1.600  14

[3]
For SrAg2GeSe2S2, the GGA-PBE geometry in OQMD gives the computed powder diffractogram in this record (Cu Kα X-rays).
Intensities are scaled so that the largest is 100.

Cell and atoms:
Lattice parameters (Å, degrees): 9.9767 7.8803 6.9853 90.00 133.71 90.00
Space group C2 (No. 5)
Inequivalent atoms, fractional coordinates:
Sr 0.0000 0.0000 0.0000 x2
Ag 0.0000 0.3172 0.5000 x2
Ag 0.0000 0.7036 0.5000 x2
Ge 0.0000 0.4859 0.0000 x2
Se 0.1940 0.6637 0.3846 x4
S 0.1806 0.3249 0.9894 x4

Main lines, in order of rising 2θ (2θ = 10–80°):
hkl  2θ/deg  d/Å  I (rel.)
1 1 0  16.7  5.320  31
2 0 0  24.7  3.606  25
0 2 1  28.7  3.106  100
2 2 -1  28.9  3.091  80
1 1 1  30.0  2.981  30
0 0 2  35.6  2.525  44
4 0 -2  36.0  2.493  56
1 3 0  36.4  2.468  32
4 2 -1  46.2  1.963  30
4 2 -3  47.2  1.926  27

[4]
For TmAg2GeS4, the GGA-PBE geometry in OQMD gives the computed powder diffractogram in this record (Cu Kα X-rays).
Intensities are scaled so that the largest is 100.

Cell and atoms:
Lattice parameters (Å, degrees): 9.7300 10.7936 6.5599 90.00 90.00 90.00
Space group Ama2 (No. 40)
Inequivalent atoms, fractional coordinates:
Tm 0.0000 0.0000 0.0000 x4
Ag 0.1003 0.1079 0.4849 x8
Ge 0.2500 0.2974 0.0386 x4
S 0.0605 0.3087 0.2589 x8
S 0.2500 0.0978 0.8786 x4
S 0.2500 0.4576 0.7821 x4

Main lines, in order of rising 2θ (2θ = 10–80°):
hkl  2θ/deg  d/Å  I (rel.)
2 1 1  24.2  3.674  42
2 2 0  24.6  3.614  36
0 0 2  27.2  3.280  68
0 3 1  28.3  3.155  98
1 3 1  29.8  3.001  35
3 1 1  31.9  2.806  100
2 2 2  37.0  2.429  87
4 1 1  40.4  2.231  65
3 2 2  42.6  2.121  42
2 5 1  48.2  1.890  49

[5]
For Sc3Si2Ag4Ge2, the GGA-PBE geometry in OQMD gives the computed powder diffractogram in this record (Cu Kα X-rays).
Intensities are scaled so that the largest is 100.

Cell and atoms:
Lattice parameters (Å, degrees): 4.1401 7.0000 13.9385 90.00 90.00 90.00
Space group Immm (No. 71)
Inequivalent atoms, fractional coordinates:
Sc 0.0000 0.0000 0.0000 x2
Sc 0.0000 0.5000 0.1225 x4
Si 0.0000 0.0000 0.2162 x4
Ag 0.0000 0.2992 0.3257 x8
Ge 0.0000 0.1852 0.5000 x4

Main lines, in order of rising 2θ (2θ = 10–80°):
hkl  2θ/deg  d/Å  I (rel.)
1 0 1  22.4  3.969  51
1 2 1  34.2  2.625  100
1 1 4  36.0  2.491  42
0 0 6  38.8  2.323  41
1 0 5  38.9  2.315  85
0 3 3  43.4  2.085  53
2 0 0  43.7  2.070  50
1 3 2  46.5  1.951  35
1 2 5  47.1  1.929  38
2 3 3  63.3  1.469  32

[6]
For TbAgGeTe2Se, the GGA-PBE geometry in OQMD gives the computed powder diffractogram in this record (Cu Kα X-rays).
Intensities are scaled so that the largest is 100.

Cell and atoms:
Lattice parameters (Å, degrees): 4.2010 14.3690 10.5067 90.00 90.00 90.00
Space group Cmcm (No. 63)
Inequivalent atoms, fractional coordinates:
Tb 0.0000 0.0000 0.0000 x4
Ag 0.0000 0.4804 0.2500 x4
Ge 0.0000 0.2421 0.7500 x4
Te 0.0000 0.3443 0.0617 x8
Se 0.0000 0.0956 0.2500 x4

Main lines, in order of rising 2θ (2θ = 10–80°):
hkl  2θ/deg  d/Å  I (rel.)
0 2 0  12.3  7.184  19
1 3 0  28.3  3.153  46
1 3 1  29.5  3.025  28
1 3 2  33.1  2.707  100
1 1 3  33.9  2.644  18
0 0 4  34.1  2.627  20
0 6 2  41.4  2.179  18
1 5 2  41.8  2.162  19
2 0 0  43.1  2.101  25
2 6 2  61.3  1.512  11

[7]
For TlAg3GeSe4, the GGA-PBE geometry in OQMD gives the computed powder diffractogram in this record (Cu Kα X-rays).
Intensities are scaled so that the largest is 100.

Cell and atoms:
Lattice parameters (Å, degrees): 6.6671 7.7128 10.4929 90.00 107.50 90.00
Space group P2_1/m (No. 11)
Inequivalent atoms, fractional coordinates:
Tl 0.2057 0.2500 0.1019 x2
Ag 0.2298 0.0538 0.5433 x4
Ag 0.3351 0.2500 0.8060 x2
Ge 0.1794 0.7500 0.2795 x2
Se 0.0367 0.5041 0.7276 x4
Se 0.2694 0.7500 0.0785 x2
Se 0.4521 0.7500 0.4926 x2

Main lines, in order of rising 2θ (2θ = 10–80°):
hkl  2θ/deg  d/Å  I (rel.)
1 1 0  18.1  4.906  40
0 2 1  24.7  3.598  72
1 0 2  25.8  3.459  52
1 2 -1  27.1  3.291  73
2 1 -2  30.7  2.913  37
1 2 -3  35.2  2.552  38
2 2 -2  36.9  2.438  35
2 0 2  37.8  2.380  38
2 2 1  39.8  2.264  100
3 2 -3  49.5  1.843  34

[8]
For Si2Ag2Ge3, the GGA-PBE geometry in OQMD gives the computed powder diffractogram in this record (Cu Kα X-rays).
Intensities are scaled so that the largest is 100.

Cell and atoms:
Lattice parameters (Å, degrees): 4.6178 4.6178 22.0879 90.00 90.00 120.00
Space group R3m (No. 160, hexagonal axes)
Inequivalent atoms, fractional coordinates:
Si 0.0000 0.0000 0.0000 x3
Si 0.0000 0.0000 0.4982 x3
Ag 0.0000 0.0000 0.2345 x3
Ag 0.0000 0.0000 0.7523 x3
Ge 0.0000 0.0000 0.3781 x3
Ge 0.0000 0.0000 0.6227 x3
Ge 0.0000 0.0000 0.8720 x3

Main lines, in order of rising 2θ (2θ = 10–80°):
hkl  2θ/deg  d/Å  I (rel.)
0 1 2  23.7  3.760  42
0 0 6  24.2  3.681  18
0 1 5  30.1  2.965  15
1 1 0  39.0  2.309  100
0 1 8  39.7  2.272  85
1 1 6  46.4  1.956  19
2 0 8  56.9  1.619  28
3 0 0  70.7  1.333  16
1 2 8  71.1  1.326  29
1 0 16  72.4  1.305  10